[1]
Starting from a GGA-PBE-relaxed structure, the powder X-ray diffraction pattern of Ba2US6 was computed for Cu Ka.
Kinematic intensities with the Lorentz-polarization factor, no thermal factor.

Largest 10 diffraction maxima, by intensity, 2θ from 10° to 90°:
| 2θ/deg | I_rel | h k l |
| --- | --- | --- |
| 23.25 | 100 | 1 0 3 |
| 23.00 | 93 | 1 1 0 |
| 40.55 | 86 | 2 1 3 |
| 32.75 | 57 | 2 0 0 |
| 32.32 | 52 | 1 0 5 |
| 11.02 | 40 | 0 0 2 |
| 63.78 | 31 | 3 2 3 |
| 46.68 | 29 | 2 1 5 |
| 33.48 | 21 | 0 0 6 |
| 41.01 | 20 | 1 1 6 |

Structure:
Lattice parameters (Å, degrees): 5.4685 5.4685 16.0609 90.00 90.00 90.00
Space group P4_2/nmc (No. 137, origin choice 2)
Asymmetric unit:
Ba 0.2500 0.7500 0.1144 (multiplicity 4)
U 0.2500 0.7500 0.7500 (multiplicity 2)
S 0.0592 0.7500 0.5862 (multiplicity 8)
S 0.2500 0.2500 0.2299 (multiplicity 4)

[2]
Starting from a GGA-PBE-relaxed structure, the powder X-ray diffraction pattern of BaV10S16 was computed for Cu Ka.
Kinematic intensities with the Lorentz-polarization factor, no thermal factor.

Largest 10 diffraction maxima, by intensity, 2θ from 10° to 90°:
| 2θ/deg | I_rel | h k l |
| --- | --- | --- |
| 34.86 | 100 | 2 2 0 |
| 43.07 | 80 | -2 1 2 |
| 54.78 | 55 | 2 5 2 |
| 33.62 | 48 | 0 3 2 |
| 43.13 | 39 | 2 2 4 |
| 20.97 | 35 | 0 2 1 |
| 36.33 | 34 | 2 2 3 |
| 56.57 | 31 | 4 1 2 |
| 21.68 | 31 | 0 0 2 |
| 41.00 | 29 | 2 2 -1 |

Structure:
Lattice parameters (Å, degrees): 6.5076 8.9467 9.0683 72.91 68.99 79.53
Space group P-1 (No. 2)
Asymmetric unit:
Ba 0.0000 0.0000 0.0000 (multiplicity 1)
V 0.0000 0.0000 0.5000 (multiplicity 1)
V 0.1717 0.2938 0.5090 (multiplicity 2)
V 0.1756 0.5771 0.8591 (multiplicity 2)
V 0.3234 0.4215 0.1416 (multiplicity 2)
V 0.3279 0.7032 0.4924 (multiplicity 2)
V 0.5000 0.0000 0.5000 (multiplicity 1)
S 0.0408 0.5183 0.6592 (multiplicity 2)
S 0.1378 0.8313 0.3138 (multiplicity 2)
S 0.1721 0.3207 0.9983 (multiplicity 2)
S 0.1985 0.8502 0.6777 (multiplicity 2)
S 0.3014 0.1496 0.3225 (multiplicity 2)
S 0.3310 0.6786 0.0016 (multiplicity 2)
S 0.3672 0.1690 0.6861 (multiplicity 2)
S 0.4587 0.4816 0.3411 (multiplicity 2)